Theoretical X-ray diffraction stick pattern
Compound: Sc2Se3
Radiation: Cu Kα
Structure: a DFT-relaxed cell (GGA-PBE, Alexandria)

The 12 most intense peaks (2θ = 15–90°), low angle first:
- 17.99°, I = 15
- 27.84°, I = 30
- 28.55°, I = 30
- 32.46°, I = 100
- 33.09°, I = 49
- 45.64°, I = 17
- 47.04°, I = 68
- 47.48°, I = 17
- 57.53°, I = 17
- 59.09°, I = 17
- 77.72°, I = 13
- 78.75°, I = 21

Structural model:
```
data_Sc2Se3
_chemical_formula_sum 'Sc2 Se3'
_space_group_name_H-M_alt 'P 1'
_space_group_IT_number 1
_cell_length_a 6.823
_cell_length_b 6.823
_cell_length_c 6.823
_cell_angle_alpha 147.40
_cell_angle_beta 133.25
_cell_angle_gamma 58.16
loop_
_space_group_symop_operation_xyz
'x,y,z'
loop_
_atom_site_label
_atom_site_type_symbol
_atom_site_fract_x
_atom_site_fract_y
_atom_site_fract_z
Sc1 Sc 0.161 0.161 0.000
Sc2 Sc 0.839 0.839 0.000
Se1 Se 0.000 0.500 0.500
Se2 Se 0.320 0.820 0.500
Se3 Se 0.680 0.180 0.500
```

---

Theoretical X-ray diffraction stick pattern
Compound: Sc2Se
Radiation: Cu Kα
Structure: a DFT-relaxed cell (GGA-PBE, Alexandria)

The 12 most intense peaks (2θ = 15–90°), low angle first:
- 22.38°, I = 29
- 26.70°, I = 21
- 33.77°, I = 65
- 36.47°, I = 91
- 38.18°, I = 38
- 40.07°, I = 100
- 40.14°, I = 26
- 47.15°, I = 18
- 51.21°, I = 24
- 65.64°, I = 14
- 66.91°, I = 16
- 72.77°, I = 14

Structural model:
```
data_Sc2Se
_chemical_formula_sum 'Sc8 Se4'
_space_group_name_H-M_alt 'P 1'
_space_group_IT_number 1
_cell_length_a 7.301
_cell_length_b 3.568
_cell_length_c 9.471
_cell_angle_alpha 90.00
_cell_angle_beta 90.00
_cell_angle_gamma 90.00
loop_
_space_group_symop_operation_xyz
'x,y,z'
loop_
_atom_site_label
_atom_site_type_symbol
_atom_site_fract_x
_atom_site_fract_y
_atom_site_fract_z
Sc1 Sc 0.010 0.250 0.173
Sc2 Sc 0.164 0.750 0.446
Sc3 Sc 0.336 0.250 0.946
Sc4 Sc 0.490 0.750 0.673
Sc5 Sc 0.510 0.250 0.327
Sc6 Sc 0.664 0.750 0.054
Sc7 Sc 0.836 0.250 0.554
Sc8 Sc 0.990 0.750 0.827
Se1 Se 0.193 0.250 0.669
Se2 Se 0.307 0.750 0.169
Se3 Se 0.693 0.250 0.831
Se4 Se 0.807 0.750 0.331
```